[1]
For Mo2PbSe2O11, a PBE+U-relaxed structure gives the computed XRD peak list in this record (a wavelength of 1.5418 Å).
Peak positions follow from Bragg's law for the DFT cell and can differ from measured ones.

Top 8 peaks for 2θ = 5–70°, sorted by position:
| two_theta | intensity |
| --- | --- |
| 12.6 | 78 |
| 19.6 | 20 |
| 23.3 | 20 |
| 24.9 | 37 |
| 25.1 | 100 |
| 26.1 | 44 |
| 29.9 | 22 |
| 34.1 | 21 |

Crystal structure
```
data_Mo2PbSe2O11
_symmetry_space_group_name_H-M 'P 1'
_symmetry_Int_Tables_number 1
_cell_length_a 8.279
_cell_length_b 8.298
_cell_length_c 9.014
_cell_angle_alpha 83.75
_cell_angle_beta 66.10
_cell_angle_gamma 67.47
loop_
_symmetry_equiv_pos_as_xyz
'x,y,z'
loop_
_atom_site_label
_atom_site_fract_x
_atom_site_fract_y
_atom_site_fract_z
_atom_site_occupancy
Mo1 0.215 0.470 0.047 1
Mo2 0.219 0.878 0.808 1
Mo3 0.781 0.122 0.192 1
Mo4 0.785 0.530 0.953 1
Pb1 0.077 0.724 0.474 1
Pb2 0.923 0.276 0.526 1
Se1 0.245 0.054 0.146 1
Se2 0.250 0.275 0.689 1
Se3 0.750 0.725 0.311 1
Se4 0.755 0.946 0.854 1
O1 0.094 0.023 0.067 1
O2 0.097 0.409 0.871 1
O3 0.124 0.281 0.191 1
O4 0.133 0.129 0.720 1
O5 0.164 0.993 0.339 1
O6 0.173 0.393 0.550 1
O7 0.222 0.673 0.925 1
O8 0.253 0.535 0.204 1
O9 0.266 0.785 0.622 1
O10 0.429 0.311 0.927 1
O11 0.430 0.894 0.788 1
O12 0.570 0.106 0.212 1
O13 0.571 0.689 0.073 1
O14 0.734 0.215 0.378 1
O15 0.747 0.465 0.796 1
O16 0.778 0.327 0.075 1
O17 0.827 0.607 0.450 1
O18 0.836 0.007 0.661 1
O19 0.867 0.871 0.280 1
O20 0.876 0.719 0.809 1
O21 0.903 0.591 0.129 1
O22 0.906 0.977 0.933 1
```

=====

[2]
For TbMoPb2O6, a PBE+U-relaxed structure gives the computed XRD peak list in this record (a wavelength of 1.5418 Å).
Peak positions follow from Bragg's law for the DFT cell and can differ from measured ones.

Top 8 peaks for 2θ = 5–70°, sorted by position:
| two_theta | intensity |
| --- | --- |
| 29.6 | 47 |
| 29.8 | 100 |
| 30.1 | 94 |
| 31.0 | 49 |
| 42.3 | 26 |
| 43.4 | 43 |
| 54.2 | 24 |
| 54.7 | 21 |

Crystal structure
```
data_TbMoPb2O6
_symmetry_space_group_name_H-M 'P 1'
_symmetry_Int_Tables_number 1
_cell_length_a 5.770
_cell_length_b 6.045
_cell_length_c 10.253
_cell_angle_alpha 90.00
_cell_angle_beta 123.54
_cell_angle_gamma 90.00
loop_
_symmetry_equiv_pos_as_xyz
'x,y,z'
loop_
_atom_site_label
_atom_site_fract_x
_atom_site_fract_y
_atom_site_fract_z
_atom_site_occupancy
Tb1 0.000 0.000 0.000 1
Tb2 0.000 0.500 0.500 1
Mo1 0.500 0.000 0.500 1
Mo2 0.500 0.500 0.000 1
Pb1 0.242 0.043 0.731 1
Pb2 0.242 0.457 0.231 1
Pb3 0.758 0.543 0.769 1
Pb4 0.758 0.957 0.269 1
O1 0.181 0.180 0.481 1
O2 0.181 0.320 0.981 1
O3 0.286 0.735 0.469 1
O4 0.286 0.765 0.969 1
O5 0.329 0.027 0.262 1
O6 0.329 0.473 0.762 1
O7 0.671 0.527 0.238 1
O8 0.671 0.973 0.738 1
O9 0.714 0.235 0.031 1
O10 0.714 0.265 0.531 1
O11 0.819 0.680 0.019 1
O12 0.819 0.820 0.519 1
```

=====

[3]
For Mo2Pd2O7, a PBE+U-relaxed structure gives the computed XRD peak list in this record (a wavelength of 1.5418 Å).
Peak positions follow from Bragg's law for the DFT cell and can differ from measured ones.

Top 8 peaks for 2θ = 5–70°, sorted by position:
| two_theta | intensity |
| --- | --- |
| 19.1 | 21 |
| 23.2 | 100 |
| 23.8 | 45 |
| 32.6 | 49 |
| 33.1 | 38 |
| 35.3 | 17 |
| 41.4 | 26 |
| 44.4 | 22 |

Crystal structure
```
data_Mo2Pd2O7
_symmetry_space_group_name_H-M 'P 1'
_symmetry_Int_Tables_number 1
_cell_length_a 5.527
_cell_length_b 5.527
_cell_length_c 6.255
_cell_angle_alpha 91.56
_cell_angle_beta 91.56
_cell_angle_gamma 114.66
loop_
_symmetry_equiv_pos_as_xyz
'x,y,z'
loop_
_atom_site_label
_atom_site_fract_x
_atom_site_fract_y
_atom_site_fract_z
_atom_site_occupancy
Mo1 0.207 0.207 0.358 1
Mo2 0.793 0.793 0.642 1
Pd1 0.355 0.645 0.000 1
Pd2 0.645 0.355 0.000 1
O1 0.084 0.406 0.199 1
O2 0.117 0.117 0.662 1
O3 0.406 0.084 0.199 1
O4 0.500 0.500 0.500 1
O5 0.594 0.916 0.801 1
O6 0.883 0.883 0.338 1
O7 0.916 0.594 0.801 1
```

=====

[4]
For Mo2PdO7, a PBE+U-relaxed structure gives the computed XRD peak list in this record (a wavelength of 1.5418 Å).
Peak positions follow from Bragg's law for the DFT cell and can differ from measured ones.

Top 8 peaks for 2θ = 5–70°, sorted by position:
| two_theta | intensity |
| --- | --- |
| 28.1 | 80 |
| 28.9 | 85 |
| 29.6 | 71 |
| 30.2 | 100 |
| 41.3 | 47 |
| 51.0 | 36 |
| 53.8 | 43 |
| 58.0 | 42 |

Crystal structure
```
data_Mo2PdO7
_symmetry_space_group_name_H-M 'P 1'
_symmetry_Int_Tables_number 1
_cell_length_a 5.931
_cell_length_b 5.931
_cell_length_c 3.777
_cell_angle_alpha 90.00
_cell_angle_beta 90.00
_cell_angle_gamma 115.18
loop_
_symmetry_equiv_pos_as_xyz
'x,y,z'
loop_
_atom_site_label
_atom_site_fract_x
_atom_site_fract_y
_atom_site_fract_z
_atom_site_occupancy
Mo1 0.191 0.809 0.000 1
Mo2 0.809 0.191 0.000 1
Pd1 0.500 0.500 0.500 1
O1 0.000 0.000 0.000 1
O2 0.177 0.459 0.000 1
O3 0.195 0.805 0.500 1
O4 0.459 0.177 0.000 1
O5 0.541 0.823 0.000 1
O6 0.805 0.195 0.500 1
O7 0.823 0.541 0.000 1
```

=====

[5]
For PmMo2PdO8, a PBE+U-relaxed structure gives the computed XRD peak list in this record (a wavelength of 1.5418 Å).
Peak positions follow from Bragg's law for the DFT cell and can differ from measured ones.

Top 8 peaks for 2θ = 5–70°, sorted by position:
| two_theta | intensity |
| --- | --- |
| 24.0 | 100 |
| 31.4 | 85 |
| 34.2 | 22 |
| 47.1 | 62 |
| 49.1 | 17 |
| 55.4 | 15 |
| 59.5 | 17 |
| 59.9 | 14 |

Crystal structure
```
data_PmMo2PdO8
_symmetry_space_group_name_H-M 'P 1'
_symmetry_Int_Tables_number 1
_cell_length_a 6.247
_cell_length_b 6.247
_cell_length_c 6.247
_cell_angle_alpha 107.18
_cell_angle_beta 107.18
_cell_angle_gamma 114.15
loop_
_symmetry_equiv_pos_as_xyz
'x,y,z'
loop_
_atom_site_label
_atom_site_fract_x
_atom_site_fract_y
_atom_site_fract_z
_atom_site_occupancy
Pm1 0.000 0.000 0.000 1
Mo1 0.250 0.750 0.500 1
Mo2 0.500 0.500 0.000 1
Pd1 0.750 0.250 0.500 1
O1 0.104 0.403 0.299 1
O2 0.104 0.804 0.701 1
O3 0.141 0.329 0.812 1
O4 0.196 0.896 0.299 1
O5 0.517 0.329 0.188 1
O6 0.597 0.896 0.701 1
O7 0.671 0.483 0.812 1
O8 0.671 0.859 0.188 1
```

=====

[6]
For V2MoPdO8, a PBE+U-relaxed structure gives the computed XRD peak list in this record (a wavelength of 1.5418 Å).
Peak positions follow from Bragg's law for the DFT cell and can differ from measured ones.

Top 8 peaks for 2θ = 5–70°, sorted by position:
| two_theta | intensity |
| --- | --- |
| 17.5 | 100 |
| 23.4 | 34 |
| 30.6 | 92 |
| 35.8 | 57 |
| 44.1 | 27 |
| 47.8 | 40 |
| 57.9 | 32 |
| 63.8 | 18 |

Crystal structure
```
data_V2MoPdO8
_symmetry_space_group_name_H-M 'P 1'
_symmetry_Int_Tables_number 1
_cell_length_a 5.837
_cell_length_b 5.837
_cell_length_c 5.779
_cell_angle_alpha 90.00
_cell_angle_beta 90.00
_cell_angle_gamma 120.00
loop_
_symmetry_equiv_pos_as_xyz
'x,y,z'
loop_
_atom_site_label
_atom_site_fract_x
_atom_site_fract_y
_atom_site_fract_z
_atom_site_occupancy
V1 0.333 0.667 0.158 1
V2 0.667 0.333 0.842 1
Mo1 0.000 0.000 0.000 1
Pd1 0.000 0.000 0.500 1
O1 0.159 0.317 0.231 1
O2 0.159 0.841 0.231 1
O3 0.317 0.159 0.769 1
O4 0.333 0.667 0.878 1
O5 0.667 0.333 0.122 1
O6 0.683 0.841 0.231 1
O7 0.841 0.159 0.769 1
O8 0.841 0.683 0.769 1
```

=====

[7]
For PmMo4O12, a PBE+U-relaxed structure gives the computed XRD peak list in this record (a wavelength of 1.5418 Å).
Peak positions follow from Bragg's law for the DFT cell and can differ from measured ones.

Top 8 peaks for 2θ = 5–70°, sorted by position:
| two_theta | intensity |
| --- | --- |
| 16.0 | 30 |
| 16.2 | 58 |
| 22.7 | 56 |
| 28.1 | 26 |
| 32.4 | 49 |
| 32.8 | 100 |
| 46.4 | 41 |
| 58.0 | 42 |

Crystal structure
```
data_PmMo4O12
_symmetry_space_group_name_H-M 'P 1'
_symmetry_Int_Tables_number 1
_cell_length_a 6.719
_cell_length_b 6.719
_cell_length_c 6.719
_cell_angle_alpha 108.80
_cell_angle_beta 108.80
_cell_angle_gamma 110.82
loop_
_symmetry_equiv_pos_as_xyz
'x,y,z'
loop_
_atom_site_label
_atom_site_fract_x
_atom_site_fract_y
_atom_site_fract_z
_atom_site_occupancy
Pm1 0.000 0.000 0.000 1
Mo1 0.000 0.000 0.500 1
Mo2 0.000 0.500 0.000 1
Mo3 0.500 0.000 0.000 1
Mo4 0.500 0.500 0.500 1
O1 0.037 0.793 0.244 1
O2 0.207 0.451 0.244 1
O3 0.207 0.963 0.756 1
O4 0.279 0.279 0.558 1
O5 0.279 0.721 0.000 1
O6 0.451 0.207 0.244 1
O7 0.549 0.793 0.756 1
O8 0.721 0.279 0.000 1
O9 0.721 0.721 0.442 1
O10 0.793 0.037 0.244 1
O11 0.793 0.549 0.756 1
O12 0.963 0.207 0.756 1
```

=====

[8]
For PmMo2O8, a PBE+U-relaxed structure gives the computed XRD peak list in this record (a wavelength of 1.5418 Å).
Peak positions follow from Bragg's law for the DFT cell and can differ from measured ones.

Top 8 peaks for 2θ = 5–70°, sorted by position:
| two_theta | intensity |
| --- | --- |
| 19.8 | 52 |
| 29.8 | 19 |
| 30.3 | 100 |
| 42.2 | 15 |
| 49.1 | 42 |
| 53.2 | 17 |
| 55.1 | 18 |
| 62.4 | 24 |

Crystal structure
```
data_PmMo2O8
_symmetry_space_group_name_H-M 'P 1'
_symmetry_Int_Tables_number 1
_cell_length_a 6.676
_cell_length_b 6.676
_cell_length_c 6.676
_cell_angle_alpha 137.20
_cell_angle_beta 137.20
_cell_angle_gamma 62.13
loop_
_symmetry_equiv_pos_as_xyz
'x,y,z'
loop_
_atom_site_label
_atom_site_fract_x
_atom_site_fract_y
_atom_site_fract_z
_atom_site_occupancy
Pm1 0.000 0.000 0.000 1
Mo1 0.250 0.750 0.500 1
Mo2 0.750 0.250 0.500 1
O1 0.086 0.587 0.967 1
O2 0.118 0.086 0.498 1
O3 0.380 0.413 0.498 1
O4 0.413 0.914 0.033 1
O5 0.587 0.620 0.502 1
O6 0.620 0.118 0.033 1
O7 0.882 0.380 0.967 1
O8 0.914 0.882 0.502 1
```

=====

[9]
For RbPmMoO4, a PBE+U-relaxed structure gives the computed XRD peak list in this record (a wavelength of 1.5418 Å).
Peak positions follow from Bragg's law for the DFT cell and can differ from measured ones.

Top 8 peaks for 2θ = 5–70°, sorted by position:
| two_theta | intensity |
| --- | --- |
| 16.1 | 55 |
| 28.8 | 100 |
| 30.2 | 71 |
| 30.6 | 55 |
| 30.8 | 55 |
| 35.9 | 32 |
| 46.3 | 32 |
| 52.7 | 61 |

Crystal structure
```
data_RbPmMoO4
_symmetry_space_group_name_H-M 'P 1'
_symmetry_Int_Tables_number 1
_cell_length_a 6.968
_cell_length_b 6.968
_cell_length_c 6.968
_cell_angle_alpha 122.37
_cell_angle_beta 114.98
_cell_angle_gamma 92.43
loop_
_symmetry_equiv_pos_as_xyz
'x,y,z'
loop_
_atom_site_label
_atom_site_fract_x
_atom_site_fract_y
_atom_site_fract_z
_atom_site_occupancy
Rb1 0.390 0.140 0.250 1
Rb2 0.610 0.860 0.750 1
Pm1 0.000 0.500 0.500 1
Pm2 0.500 0.500 0.000 1
Mo1 0.000 0.000 0.500 1
Mo2 0.000 0.500 0.000 1
O1 0.169 0.742 0.427 1
O2 0.186 0.258 0.927 1
O3 0.213 0.250 0.537 1
O4 0.213 0.677 0.963 1
O5 0.787 0.323 0.037 1
O6 0.787 0.750 0.463 1
O7 0.814 0.742 0.073 1
O8 0.831 0.258 0.573 1
```

=====

[10]
For PmScMoO6, a PBE+U-relaxed structure gives the computed XRD peak list in this record (a wavelength of 1.5418 Å).
Peak positions follow from Bragg's law for the DFT cell and can differ from measured ones.

Top 8 peaks for 2θ = 5–70°, sorted by position:
| two_theta | intensity |
| --- | --- |
| 19.2 | 14 |
| 26.3 | 100 |
| 33.6 | 30 |
| 43.1 | 24 |
| 50.0 | 35 |
| 55.8 | 24 |
| 58.8 | 10 |
| 60.1 | 12 |

Crystal structure
```
data_PmScMoO6
_symmetry_space_group_name_H-M 'P 1'
_symmetry_Int_Tables_number 1
_cell_length_a 5.333
_cell_length_b 5.333
_cell_length_c 5.006
_cell_angle_alpha 90.00
_cell_angle_beta 90.00
_cell_angle_gamma 120.00
loop_
_symmetry_equiv_pos_as_xyz
'x,y,z'
loop_
_atom_site_label
_atom_site_fract_x
_atom_site_fract_y
_atom_site_fract_z
_atom_site_occupancy
Pm1 0.000 0.000 0.000 1
Sc1 0.667 0.333 0.500 1
Mo1 0.333 0.667 0.500 1
O1 0.022 0.372 0.282 1
O2 0.022 0.650 0.718 1
O3 0.350 0.372 0.718 1
O4 0.350 0.978 0.282 1
O5 0.628 0.650 0.282 1
O6 0.628 0.978 0.718 1
```

=====

[11]
For Sr2PmMoO6, a PBE+U-relaxed structure gives the computed XRD peak list in this record (a wavelength of 1.5418 Å).
Peak positions follow from Bragg's law for the DFT cell and can differ from measured ones.

Top 8 peaks for 2θ = 5–70°, sorted by position:
| two_theta | intensity |
| --- | --- |
| 29.8 | 24 |
| 30.0 | 100 |
| 30.4 | 24 |
| 42.8 | 14 |
| 43.1 | 25 |
| 53.0 | 28 |
| 53.7 | 23 |
| 62.3 | 14 |

Crystal structure
```
data_Sr2PmMoO6
_symmetry_space_group_name_H-M 'P 1'
_symmetry_Int_Tables_number 1
_cell_length_a 5.884
_cell_length_b 5.996
_cell_length_c 10.296
_cell_angle_alpha 90.00
_cell_angle_beta 124.77
_cell_angle_gamma 90.00
loop_
_symmetry_equiv_pos_as_xyz
'x,y,z'
loop_
_atom_site_label
_atom_site_fract_x
_atom_site_fract_y
_atom_site_fract_z
_atom_site_occupancy
Sr1 0.239 0.043 0.247 1
Sr2 0.239 0.457 0.747 1
Sr3 0.761 0.543 0.253 1
Sr4 0.761 0.957 0.753 1
Pm1 0.000 0.000 0.500 1
Pm2 0.000 0.500 0.000 1
Mo1 0.500 0.000 0.000 1
Mo2 0.500 0.500 0.500 1
O1 0.174 0.188 0.955 1
O2 0.174 0.312 0.455 1
O3 0.275 0.730 0.952 1
O4 0.275 0.770 0.452 1
O5 0.354 0.032 0.767 1
O6 0.354 0.468 0.267 1
O7 0.646 0.532 0.733 1
O8 0.646 0.968 0.233 1
O9 0.725 0.230 0.548 1
O10 0.725 0.270 0.048 1
O11 0.826 0.688 0.545 1
O12 0.826 0.812 0.045 1
```

=====

[12]
For PmTaMo2O8, a PBE+U-relaxed structure gives the computed XRD peak list in this record (a wavelength of 1.5418 Å).
Peak positions follow from Bragg's law for the DFT cell and can differ from measured ones.

Top 8 peaks for 2θ = 5–70°, sorted by position:
| two_theta | intensity |
| --- | --- |
| 18.2 | 13 |
| 25.6 | 60 |
| 26.2 | 55 |
| 32.5 | 100 |
| 37.0 | 28 |
| 49.7 | 41 |
| 50.4 | 37 |
| 63.8 | 23 |

Crystal structure
```
data_PmTaMo2O8
_symmetry_space_group_name_H-M 'P 1'
_symmetry_Int_Tables_number 1
_cell_length_a 4.862
_cell_length_b 4.862
_cell_length_c 6.680
_cell_angle_alpha 90.00
_cell_angle_beta 90.00
_cell_angle_gamma 91.19
loop_
_symmetry_equiv_pos_as_xyz
'x,y,z'
loop_
_atom_site_label
_atom_site_fract_x
_atom_site_fract_y
_atom_site_fract_z
_atom_site_occupancy
Pm1 0.000 0.000 0.000 1
Ta1 0.000 0.000 0.500 1
Mo1 0.500 0.500 0.254 1
Mo2 0.500 0.500 0.746 1
O1 0.200 0.200 0.285 1
O2 0.200 0.200 0.715 1
O3 0.301 0.699 0.500 1
O4 0.326 0.674 0.000 1
O5 0.674 0.326 0.000 1
O6 0.699 0.301 0.500 1
O7 0.800 0.800 0.285 1
O8 0.800 0.800 0.715 1
```